Structure and calculated powder XRD pattern of Sm4HgRh3 (DFT lattice parameters and positions (GGA-PBE); CuKα).

Structure:
Cell: 5.016 5.016 7.255 Å, 90.00 90.00 90.00°
Positions (direct):
Sm 0.000 0.500 0.238
Sm 0.000 0.500 0.762
Sm 0.500 0.000 0.238
Sm 0.500 0.000 0.762
Hg 0.000 0.000 0.500
Rh 0.000 0.000 0.000
Rh 0.500 0.500 0.000
Rh 0.500 0.500 0.500

The 6 most intense peaks (2θ = 10–90°), sorted by position:
2θ = 35.40°, I 100
2θ = 35.81°, I 49
2θ = 51.54°, I 17
2θ = 63.28°, I 18
2θ = 64.08°, I 35
2θ = 74.89°, I 11